# 1
# Mg7Zn4
Computed powder diffractogram, CuKα. Input: the GGA-PBE geometry in Alexandria.
Kinematic intensities with the Lorentz-polarization factor, no thermal factor.

Peak list (10 most intense, 5 to 70 degrees two-theta, by angle)
2θ (°)	d_spacing	I_rel
13.25	6.682	607
23.98	3.710	667
26.68	3.341	326
30.64	2.918	341
33.51	2.674	617
35.55	2.525	538
40.44	2.230	503
41.07	2.198	1000
45.52	1.993	632
54.92	1.672	323

Cell and atoms:
a = 7.7151 Å, b = 7.7151 Å, c = 4.4615 Å
α = 90.00°, β = 90.00°, γ = 120.00°
Fractional coordinates of all 11 atoms:
Mg  0.0000  0.0000  0.0000
Mg  0.0626  0.5313  0.0000
Mg  0.3899  0.1949  0.5000
Mg  0.4687  0.5313  0.0000
Mg  0.4687  0.9374  0.0000
Mg  0.8051  0.1949  0.5000
Mg  0.8051  0.6101  0.5000
Zn  0.2149  0.4298  0.5000
Zn  0.2149  0.7851  0.5000
Zn  0.5702  0.7851  0.5000
Zn  0.6667  0.3333  0.0000

---

# 2
# Pr4PS2
Computed powder diffractogram, CuKα. Input: the GGA-PBE geometry in Alexandria.
Kinematic intensities with the Lorentz-polarization factor, no thermal factor.

Peak list (10 most intense, 5 to 70 degrees two-theta, by angle)
2θ (°)	d_spacing	I_rel
26.01	3.426	363
28.38	3.145	1000
28.49	3.133	554
28.70	3.111	364
36.45	2.465	212
36.57	2.457	277
44.66	2.029	333
47.32	1.921	226
47.46	1.916	182
53.50	1.713	259

Cell and atoms:
a = 4.0965 Å, b = 7.0079 Å, c = 7.9405 Å
α = 115.78°, β = 104.89°, γ = 90.01°
Fractional coordinates of all 7 atoms:
Pr  0.1253  0.4673  0.2512
Pr  0.3738  0.0455  0.7482
Pr  0.6262  0.9545  0.2518
Pr  0.8747  0.5327  0.7488
P  0.5000  0.5000  0.0000
S  0.2426  0.2401  0.4850
S  0.7574  0.7599  0.5150

---

# 3
# Ac2La3Ga4
Computed powder diffractogram, CuKα. Input: the GGA-PBE geometry in Alexandria.
Kinematic intensities with the Lorentz-polarization factor, no thermal factor.

Peak list (10 most intense, 5 to 70 degrees two-theta, by angle)
2θ (°)	d_spacing	I_rel
24.07	3.697	224
27.73	3.218	298
29.18	3.060	356
30.22	2.958	624
30.34	2.946	1000
31.20	2.867	222
32.71	2.738	265
33.92	2.643	409
34.68	2.587	203
35.47	2.531	340

Cell and atoms:
a = 8.5364 Å, b = 8.4469 Å, c = 7.9645 Å
α = 90.00°, β = 105.83°, γ = 90.00°
Fractional coordinates of all 18 atoms:
Ac  0.1896  0.1779  0.0710
Ac  0.1896  0.3221  0.5710
Ac  0.8104  0.6779  0.4290
Ac  0.8104  0.8221  0.9290
La  0.2376  0.6771  0.2518
La  0.2376  0.8229  0.7518
La  0.5000  0.0000  0.5000
La  0.5000  0.5000  0.0000
La  0.7624  0.1771  0.2482
La  0.7624  0.3229  0.7482
Ga  0.0775  0.5340  0.8751
Ga  0.0775  0.9660  0.3751
Ga  0.4959  0.1151  0.8829
Ga  0.4959  0.3849  0.3829
Ga  0.5041  0.6151  0.6171
Ga  0.5041  0.8849  0.1171
Ga  0.9225  0.0340  0.6249
Ga  0.9225  0.4660  0.1249

---

Copy entry 2 word for word.
# Pr4PS2
Computed powder diffractogram, CuKα. Input: the GGA-PBE geometry in Alexandria.
Kinematic intensities with the Lorentz-polarization factor, no thermal factor.

Peak list (10 most intense, 5 to 70 degrees two-theta, by angle)
2θ (°)	d_spacing	I_rel
26.01	3.426	363
28.38	3.145	1000
28.49	3.133	554
28.70	3.111	364
36.45	2.465	212
36.57	2.457	277
44.66	2.029	333
47.32	1.921	226
47.46	1.916	182
53.50	1.713	259

Cell and atoms:
a = 4.0965 Å, b = 7.0079 Å, c = 7.9405 Å
α = 115.78°, β = 104.89°, γ = 90.01°
Fractional coordinates of all 7 atoms:
Pr  0.1253  0.4673  0.2512
Pr  0.3738  0.0455  0.7482
Pr  0.6262  0.9545  0.2518
Pr  0.8747  0.5327  0.7488
P  0.5000  0.5000  0.0000
S  0.2426  0.2401  0.4850
S  0.7574  0.7599  0.5150